The following is a computed X-ray diffraction stick pattern of CsKMg6. It was derived from a PBE-relaxed structure, using Cu Ka.
Kinematic intensities with the Lorentz-polarization factor, no thermal factor.

Unit cell a=5.963 b=4.917 c=10.612 alpha=90.00 beta=90.65 gamma=90.00
Fractional positions:
1 Cs 0.000 0.000 0.000
2 K 0.497 0.000 0.726
3 Mg 0.009 0.500 0.284
4 Mg 0.011 0.500 0.572
5 Mg 0.268 0.000 0.374
6 Mg 0.509 0.500 0.199
7 Mg 0.509 0.500 0.485
8 Mg 0.768 0.000 0.391

Most intense lines, 2θ = 5–70°, in order of falling intensity:
two_theta  d/Å  I/Imax  hkl
31.1  2.872  100  0 1 3
19.9  4.461  86  0 1 1
24.9  3.580  64  1 1 -1
25.0  3.564  61  1 1 1
29.0  3.075  58  1 1 2
28.8  3.096  58  1 1 -2
36.3  2.473  53  2 1 1
36.2  2.484  52  2 1 -1
17.0  5.223  51  1 0 -1
17.1  5.173  50  1 0 1
36.5  2.459  48  0 2 0
22.3  3.986  42  1 0 -2